Diffraction record for U3CuS6. The PXRD pattern is computed, not measured: it uses DFT lattice parameters and positions (PBE) and Cu Kα.

Cell and atoms:
```
data_U3CuS6
_symmetry_space_group_name_H-M 'C m c 21'
_symmetry_Int_Tables_number 36
_symmetry_space_group_name_Hall 'C 2c -2'
_cell_length_a 10.552
_cell_length_b 12.899
_cell_length_c 6.360
_cell_angle_alpha 90.00
_cell_angle_beta 90.00
_cell_angle_gamma 90.00
loop_
_atom_site_label
_atom_site_type_symbol
_atom_site_fract_x
_atom_site_fract_y
_atom_site_fract_z
U1 U 0.000 0.106 0.000
U2 U 0.175 0.399 0.903
Cu1 Cu 0.000 0.301 0.350
S1 S 0.000 0.274 0.713
S2 S 0.000 0.467 0.206
S3 S 0.162 0.033 0.701
S4 S 0.174 0.232 0.178
```

Largest 12 diffraction maxima, in order of rising 2θ, 15° ≤ 2θ ≤ 90°:
(hkl), Position (°2θ), intensity
1 1 1, 17.7, 45
0 2 1, 19.6, 21
2 2 1, 25.9, 100
3 1 0, 26.3, 33
1 3 1, 26.4, 67
3 3 1, 35.9, 28
3 1 2, 38.8, 45
4 2 1, 39.5, 20
0 4 2, 39.8, 27
3 5 0, 43.5, 48
5 3 1, 50.2, 19
3 5 2, 52.6, 21

---

Diffraction record for HoTm2Al3CuNi2. The PXRD pattern is computed, not measured: it uses DFT lattice parameters and positions (PBE) and Cu Kα.

Cell and atoms:
```
data_HoTm2Al3CuNi2
_symmetry_space_group_name_H-M 'A m m 2'
_symmetry_Int_Tables_number 38
_symmetry_space_group_name_Hall 'A 2 -2'
_cell_length_a 3.763
_cell_length_b 12.210
_cell_length_c 7.047
_cell_angle_alpha 90.00
_cell_angle_beta 90.00
_cell_angle_gamma 90.00
loop_
_atom_site_label
_atom_site_type_symbol
_atom_site_fract_x
_atom_site_fract_y
_atom_site_fract_z
Ho1 Ho 0.000 0.000 0.000
Tm1 Tm 0.000 0.209 0.626
Al1 Al 0.500 0.000 0.662
Al2 Al 0.500 0.123 0.295
Cu1 Cu 0.000 0.000 0.418
Ni1 Ni 0.500 0.168 0.917
```

Largest 12 diffraction maxima, in order of rising 2θ, 15° ≤ 2θ ≤ 90°:
(hkl), Position (°2θ), intensity
1 0 0, 23.6, 28
0 0 2, 25.3, 39
0 4 0, 29.3, 39
1 0 2, 34.9, 97
1 2 2, 38.0, 100
0 5 1, 39.0, 33
2 0 0, 48.4, 20
0 5 3, 54.2, 28
1 7 1, 59.9, 38
1 8 2, 71.9, 19
2 5 3, 75.5, 21
1 5 5, 83.2, 23

---

Diffraction record for DyHo2Ga3Si2Ni. The PXRD pattern is computed, not measured: it uses DFT lattice parameters and positions (PBE) and Cu Kα.

Cell and atoms:
```
data_DyHo2Ga3Si2Ni
_symmetry_space_group_name_H-M 'A m m 2'
_symmetry_Int_Tables_number 38
_symmetry_space_group_name_Hall 'A 2 -2'
_cell_length_a 4.138
_cell_length_b 11.877
_cell_length_c 6.850
_cell_angle_alpha 90.00
_cell_angle_beta 90.00
_cell_angle_gamma 90.00
loop_
_atom_site_label
_atom_site_type_symbol
_atom_site_fract_x
_atom_site_fract_y
_atom_site_fract_z
Dy1 Dy 0.000 0.000 0.000
Ho1 Ho 0.000 0.202 0.395
Ga1 Ga 0.500 0.000 0.360
Ga2 Ga 0.500 0.118 0.714
Si1 Si 0.500 0.167 0.096
Ni1 Ni 0.000 0.000 0.595
```

Largest 12 diffraction maxima, in order of rising 2θ, 15° ≤ 2θ ≤ 90°:
(hkl), Position (°2θ), intensity
1 0 0, 21.5, 16
0 0 2, 26.0, 25
0 2 2, 30.1, 16
1 0 2, 34.0, 100
1 2 2, 37.3, 63
0 5 1, 40.2, 38
2 0 0, 43.8, 23
0 6 0, 45.9, 14
0 2 4, 55.8, 13
1 2 4, 60.5, 28
2 5 1, 60.9, 22
1 8 2, 73.2, 16

---

Diffraction record for Al2Zn3. The PXRD pattern is computed, not measured: it uses DFT lattice parameters and positions (PBE) and Cu Kα.

Cell and atoms:
```
data_Al2Zn3
_symmetry_space_group_name_H-M 'C 1 c 1'
_symmetry_Int_Tables_number 9
_symmetry_space_group_name_Hall 'C -2yc'
_cell_length_a 10.861
_cell_length_b 6.224
_cell_length_c 5.007
_cell_angle_alpha 90.00
_cell_angle_beta 100.40
_cell_angle_gamma 90.00
loop_
_atom_site_label
_atom_site_type_symbol
_atom_site_fract_x
_atom_site_fract_y
_atom_site_fract_z
Al1 Al 0.000 0.126 0.000
Al2 Al 0.381 0.152 0.030
Zn1 Zn 0.077 0.483 0.339
Zn2 Zn 0.200 0.110 0.375
Zn3 Zn 0.291 0.469 0.683
```

Largest 12 diffraction maxima, in order of rising 2θ, 15° ≤ 2θ ≤ 90°:
(hkl), Position (°2θ), intensity
1 1 0, 16.5, 36
2 0 0, 16.6, 37
0 2 0, 28.7, 51
3 1 0, 28.9, 35
3 1 -1, 31.7, 30
2 2 1, 39.6, 41
1 1 2, 41.7, 42
3 1 -2, 43.2, 100
1 3 0, 44.5, 35
5 1 0, 44.9, 74
1 3 -1, 47.7, 23
2 2 2, 52.7, 24

---

Diffraction record for Hf5Si4. The PXRD pattern is computed, not measured: it uses DFT lattice parameters and positions (PBE) and Cu Kα.

Cell and atoms:
```
data_Hf5Si4
_symmetry_space_group_name_H-M 'P 41 21 2'
_symmetry_Int_Tables_number 92
_symmetry_space_group_name_Hall 'P 4abw 2nw'
_cell_length_a 7.064
_cell_length_b 7.064
_cell_length_c 12.862
_cell_angle_alpha 90.00
_cell_angle_beta 90.00
_cell_angle_gamma 90.00
loop_
_atom_site_label
_atom_site_type_symbol
_atom_site_fract_x
_atom_site_fract_y
_atom_site_fract_z
Hf1 Hf 0.000 0.146 0.124
Hf2 Hf 0.003 0.653 0.217
Hf3 Hf 0.175 0.175 0.500
Si1 Si 0.048 0.303 0.314
Si2 Si 0.147 0.796 0.427
```

Largest 12 diffraction maxima, in order of rising 2θ, 15° ≤ 2θ ≤ 90°:
(hkl), Position (°2θ), intensity
1 1 3, 27.4, 40
2 0 2, 28.8, 44
2 1 1, 29.1, 33
1 1 4, 33.1, 42
2 1 3, 35.3, 76
2 2 1, 36.7, 100
1 1 5, 39.4, 72
3 0 2, 40.8, 72
4 0 2, 53.8, 24
4 2 1, 58.9, 32
3 1 6, 59.8, 41
3 3 4, 62.8, 37

---

Diffraction record for PrErZn2Sn2. The PXRD pattern is computed, not measured: it uses DFT lattice parameters and positions (PBE) and Cu Kα.

Cell and atoms:
```
data_PrErZn2Sn2
_symmetry_space_group_name_H-M 'P 63/m m c'
_symmetry_Int_Tables_number 194
_symmetry_space_group_name_Hall '-P 6c 2c'
_cell_length_a 4.5332
_cell_length_b 4.5332
_cell_length_c 16.0963
_cell_angle_alpha 90.00
_cell_angle_beta 90.00
_cell_angle_gamma 120.00
loop_
_atom_site_label
_atom_site_type_symbol
_atom_site_fract_x
_atom_site_fract_y
_atom_site_fract_z
Pr1 Pr 0.0000 0.0000 0.0000
Er1 Er 0.0000 0.0000 0.2500
Zn1 Zn 0.3333 0.6667 0.1633
Sn1 Sn 0.3333 0.6667 0.6193
```

Largest 12 diffraction maxima, in order of rising 2θ, 15° ≤ 2θ ≤ 90°:
(hkl), Position (°2θ), intensity
1 0 0, 22.6, 7
1 0 3, 28.2, 15
1 0 4, 31.8, 100
1 1 0, 39.8, 60
0 0 8, 45.1, 7
1 0 7, 45.7, 13
2 0 4, 51.8, 26
1 1 8, 61.6, 17
2 1 4, 67.2, 23
3 0 0, 72.2, 10
2 2 0, 85.7, 7
3 0 8, 89.3, 7

---

Diffraction record for Co3Ni2Sn3. The PXRD pattern is computed, not measured: it uses DFT lattice parameters and positions (PBE) and Cu Kα.

Cell and atoms:
```
data_Co3Ni2Sn3
_symmetry_space_group_name_H-M 'A m m 2'
_symmetry_Int_Tables_number 38
_symmetry_space_group_name_Hall 'A 2 -2'
_cell_length_a 4.522
_cell_length_b 6.014
_cell_length_c 8.761
_cell_angle_alpha 90.00
_cell_angle_beta 90.00
_cell_angle_gamma 90.00
loop_
_atom_site_label
_atom_site_type_symbol
_atom_site_fract_x
_atom_site_fract_y
_atom_site_fract_z
Co1 Co 0.000 0.000 0.000
Co2 Co 0.500 0.202 0.089
Ni1 Ni 0.000 0.000 0.498
Ni2 Ni 0.500 0.000 0.837
Sn1 Sn 0.000 0.237 0.744
Sn2 Sn 0.500 0.000 0.371
```

Largest 12 diffraction maxima, in order of rising 2θ, 15° ≤ 2θ ≤ 90°:
(hkl), Position (°2θ), intensity
1 0 2, 28.4, 13
1 2 0, 35.9, 11
0 2 2, 36.2, 46
2 0 0, 39.9, 50
1 2 2, 41.5, 100
1 0 4, 46.0, 57
2 2 2, 55.0, 28
3 2 2, 73.5, 18
2 4 0, 76.0, 11
3 0 4, 76.8, 12
1 4 4, 80.3, 17
2 2 6, 85.5, 14

---

Diffraction record for Cd2AgP2O8. The PXRD pattern is computed, not measured: it uses DFT lattice parameters and positions (PBE) and Cu Kα.

Cell and atoms:
```
data_Cd2AgP2O8
_symmetry_space_group_name_H-M 'P -1'
_symmetry_Int_Tables_number 2
_symmetry_space_group_name_Hall '-P 1'
_cell_length_a 4.879
_cell_length_b 5.663
_cell_length_c 6.766
_cell_angle_alpha 75.08
_cell_angle_beta 84.65
_cell_angle_gamma 69.13
loop_
_atom_site_label
_atom_site_type_symbol
_atom_site_fract_x
_atom_site_fract_y
_atom_site_fract_z
Cd1 Cd 0.206 0.233 0.181
Ag1 Ag 0.500 0.500 0.500
P1 P 0.129 0.163 0.721
O1 O 0.123 0.361 0.845
O2 O 0.185 0.834 0.309
O3 O 0.253 0.253 0.506
O4 O 0.305 0.883 0.832
```

Largest 12 diffraction maxima, in order of rising 2θ, 15° ≤ 2θ ≤ 90°:
(hkl), Position (°2θ), intensity
1 1 0, 21.1, 27
1 1 1, 22.7, 37
1 0 -1, 23.8, 75
0 1 -1, 24.5, 53
1 1 -1, 27.4, 29
0 1 2, 28.6, 100
1 -1 0, 30.4, 84
1 2 1, 33.0, 43
1 0 2, 33.7, 63
2 1 0, 37.2, 41
1 1 -2, 38.1, 22
0 0 3, 41.4, 32

---

Diffraction record for HoAuSeO. The PXRD pattern is computed, not measured: it uses DFT lattice parameters and positions (PBE) and Cu Kα.

Cell and atoms:
```
data_HoAuSeO
_symmetry_space_group_name_H-M 'P 1 21 1'
_symmetry_Int_Tables_number 4
_symmetry_space_group_name_Hall 'P 2yb'
_cell_length_a 5.701
_cell_length_b 5.695
_cell_length_c 11.076
_cell_angle_alpha 90.00
_cell_angle_beta 92.16
_cell_angle_gamma 90.00
loop_
_atom_site_label
_atom_site_type_symbol
_atom_site_fract_x
_atom_site_fract_y
_atom_site_fract_z
Ho1 Ho 0.006 0.000 0.092
Ho2 Ho 0.493 0.002 0.907
Au1 Au 0.003 0.024 0.729
Au2 Au 0.316 0.277 0.503
Se1 Se 0.302 0.222 0.285
Se2 Se 0.309 0.326 0.722
O1 O 0.249 0.250 0.002
O2 O 0.251 0.750 0.000
```

Largest 12 diffraction maxima, in order of rising 2θ, 15° ≤ 2θ ≤ 90°:
(hkl), Position (°2θ), intensity
0 1 1, 17.5, 21
1 1 0, 22.1, 61
1 1 -1, 23.3, 20
1 1 1, 23.7, 27
1 1 -2, 27.0, 48
1 1 2, 27.7, 42
1 1 -3, 32.5, 100
1 1 3, 33.4, 61
1 2 0, 35.2, 29
0 0 5, 40.8, 33
2 2 0, 45.0, 55
2 2 5, 63.3, 18

---

Diffraction record for TmHfSi2Pd4. The PXRD pattern is computed, not measured: it uses DFT lattice parameters and positions (PBE) and Cu Kα.

Cell and atoms:
```
data_TmHfSi2Pd4
_symmetry_space_group_name_H-M 'A m m 2'
_symmetry_Int_Tables_number 38
_symmetry_space_group_name_Hall 'A 2 -2'
_cell_length_a 7.031
_cell_length_b 3.804
_cell_length_c 9.892
_cell_angle_alpha 90.00
_cell_angle_beta 90.00
_cell_angle_gamma 90.00
loop_
_atom_site_label
_atom_site_type_symbol
_atom_site_fract_x
_atom_site_fract_y
_atom_site_fract_z
Tm1 Tm 0.000 0.000 0.000
Hf1 Hf 0.500 0.000 0.108
Si1 Si 0.000 0.000 0.284
Si2 Si 0.500 0.000 0.825
Pd1 Pd 0.202 0.000 0.695
Pd2 Pd 0.305 0.000 0.414
```

Largest 12 diffraction maxima, in order of rising 2θ, 15° ≤ 2θ ≤ 90°:
(hkl), Position (°2θ), intensity
1 1 1, 28.2, 11
2 0 2, 31.2, 13
2 1 1, 36.0, 100
1 1 3, 38.3, 31
1 0 4, 38.6, 16
3 0 2, 42.7, 21
2 0 4, 44.8, 12
0 2 0, 47.8, 17
3 2 2, 66.0, 11
3 1 5, 66.6, 15
0 1 7, 71.2, 8
2 3 1, 81.3, 9

---

Diffraction record for RbAlCoSe3. The PXRD pattern is computed, not measured: it uses DFT lattice parameters and positions (PBE) and Cu Kα.

Cell and atoms:
```
data_RbAlCoSe3
_symmetry_space_group_name_H-M 'P n m a'
_symmetry_Int_Tables_number 62
_symmetry_space_group_name_Hall '-P 2ac 2n'
_cell_length_a 15.592
_cell_length_b 3.758
_cell_length_c 10.502
_cell_angle_alpha 90.00
_cell_angle_beta 90.00
_cell_angle_gamma 90.00
loop_
_atom_site_label
_atom_site_type_symbol
_atom_site_fract_x
_atom_site_fract_y
_atom_site_fract_z
Rb1 Rb 0.233 0.250 0.040
Al1 Al 0.020 0.250 0.361
Co1 Co 0.013 0.750 0.081
Se1 Se 0.075 0.750 0.879
Se2 Se 0.086 0.250 0.579
Se3 Se 0.111 0.750 0.262
```

Largest 12 diffraction maxima, in order of rising 2θ, 15° ≤ 2θ ≤ 90°:
(hkl), Position (°2θ), intensity
2 0 3, 27.9, 37
4 0 2, 28.5, 26
5 0 1, 29.9, 21
3 1 1, 30.6, 100
2 1 2, 31.4, 29
4 1 1, 34.2, 12
6 0 0, 34.5, 29
2 0 4, 36.1, 14
5 1 2, 41.4, 28
0 2 0, 48.4, 24
7 1 2, 50.7, 23
2 1 5, 51.2, 19

---

Diffraction record for K2NaFeH6. The PXRD pattern is computed, not measured: it uses DFT lattice parameters and positions (PBE) and Cu Kα.

Cell and atoms:
```
data_K2NaFeH6
_symmetry_space_group_name_H-M 'F m -3 m'
_symmetry_Int_Tables_number 225
_symmetry_space_group_name_Hall '-F 4 2 3'
_cell_length_a 7.837
_cell_length_b 7.837
_cell_length_c 7.837
_cell_angle_alpha 90.00
_cell_angle_beta 90.00
_cell_angle_gamma 90.00
loop_
_atom_site_label
_atom_site_type_symbol
_atom_site_fract_x
_atom_site_fract_y
_atom_site_fract_z
K1 K 0.250 0.250 0.250
Na1 Na 0.000 0.000 0.000
Fe1 Fe 0.000 0.000 0.500
H1 H 0.000 0.000 0.293
```

Largest 12 diffraction maxima, in order of rising 2θ, 15° ≤ 2θ ≤ 90°:
(hkl), Position (°2θ), intensity
1 1 1, 19.6, 13
2 2 0, 32.3, 100
3 1 1, 38.1, 5
4 0 0, 46.3, 18
3 3 1, 50.8, 2
4 2 2, 57.6, 32
5 1 1, 61.5, 2
4 4 0, 67.6, 10
5 3 1, 71.2, 2
6 2 0, 76.9, 13
4 4 4, 85.9, 3
5 5 1, 89.3, 1